[1]
Diffraction record for U3Cd. The X-ray diffraction stick pattern is theoretical, not measured: it uses DFT lattice parameters and positions (PBE) and CuKα.
Lines closer than 0.1° are merged.

Structural model:
abc: 6.954 6.954 6.954
angles: 90.00 90.00 90.00
Space group Fm-3m (No. 225)
Asymmetric unit:
U (0.000, 0.000, 0.000) [4 per cell]
U (0.250, 0.250, 0.250) [8 per cell]
Cd (0.000, 0.000, 0.500) [4 per cell]

Principal peaks in the range 2θ from 15° to 90°, low angle first:
d/Å, two_theta, Rel. int.
4.015, 22.14, 4
3.477, 25.62, 2
2.458, 36.55, 100
2.097, 43.15, 3
1.738, 52.65, 18
1.419, 65.79, 37
1.229, 77.68, 12
1.099, 89.04, 18



[2]
Diffraction record for UCd3. The X-ray diffraction stick pattern is theoretical, not measured: it uses DFT lattice parameters and positions (PBE) and CuKα.
Lines closer than 0.1° are merged.

Structural model:
abc: 7.277 7.277 7.277
angles: 90.00 90.00 90.00
Space group Fm-3m (No. 225)
Asymmetric unit:
U (0.000, 0.000, 0.000) [4 per cell]
Cd (0.000, 0.000, 0.500) [4 per cell]
Cd (0.250, 0.250, 0.250) [8 per cell]

Principal peaks in the range 2θ from 15° to 90°, low angle first:
d/Å, two_theta, Rel. int.
4.201, 21.15, 8
3.638, 24.47, 4
2.573, 34.87, 100
2.194, 41.14, 5
1.819, 50.15, 18
1.485, 62.53, 36
1.286, 73.64, 11
1.151, 84.14, 16



[3]
Diffraction record for UCd. The X-ray diffraction stick pattern is theoretical, not measured: it uses DFT lattice parameters and positions (PBE) and CuKα.
Lines closer than 0.1° are merged.

Structural model:
abc: 2.9309 2.9309 18.9789
angles: 90.00 90.00 120.00
Space group R3m (No. 160, hexagonal axes)
Asymmetric unit:
U (0.0000, 0.0000, 0.0000) [3 per cell]
Cd (0.0000, 0.0000, 0.8212) [3 per cell]

Principal peaks in the range 2θ from 15° to 90°, low angle first:
d/Å, two_theta, Rel. int.
3.163, 28.21, 78
2.516, 35.69, 100
2.452, 36.65, 34
2.238, 40.30, 44
2.110, 42.86, 79
1.853, 49.17, 30
1.427, 65.40, 30
1.330, 70.87, 35



[4]
Diffraction record for YCd3. The X-ray diffraction stick pattern is theoretical, not measured: it uses DFT lattice parameters and positions (PBE) and CuKα.
Lines closer than 0.1° are merged.

Structural model:
abc: 7.212 7.212 7.212
angles: 90.00 90.00 90.00
Space group Fm-3m (No. 225)
Asymmetric unit:
Y (0.000, 0.000, 0.000) [4 per cell]
Cd (0.000, 0.000, 0.500) [4 per cell]
Cd (0.250, 0.250, 0.250) [8 per cell]

Principal peaks in the range 2θ from 15° to 90°, low angle first:
d/Å, two_theta, Rel. int.
4.164, 21.34, 1
2.550, 35.20, 100
1.803, 50.63, 17
1.472, 63.16, 34
1.275, 74.42, 10
1.140, 85.08, 15



[5]
Diffraction record for YCd. The X-ray diffraction stick pattern is theoretical, not measured: it uses DFT lattice parameters and positions (PBE) and CuKα.
Lines closer than 0.1° are merged.

Structural model:
abc: 3.757 3.757 3.757
angles: 90.00 90.00 90.00
Space group Pm-3m (No. 221)
Asymmetric unit:
Y (0.000, 0.000, 0.000) [1 per cell]
Cd (0.500, 0.500, 0.500) [1 per cell]

Principal peaks in the range 2θ from 15° to 90°, low angle first:
d/Å, two_theta, Rel. int.
3.757, 23.68, 2
2.657, 33.74, 100
2.169, 41.63, 1
1.879, 48.46, 17
1.680, 54.62, 1
1.534, 60.34, 35
1.328, 70.95, 11
1.188, 80.91, 15



[6]
Diffraction record for YCd3. The X-ray diffraction stick pattern is theoretical, not measured: it uses DFT lattice parameters and positions (PBE) and CuKα.
Lines closer than 0.1° are merged.

Structural model:
abc: 7.163 10.970 4.903
angles: 90.00 90.00 90.00
Space group Cmcm (No. 63)
Asymmetric unit:
Y (0.000, 0.136, 0.250) [4 per cell]
Cd (0.000, 0.325, 0.750) [4 per cell]
Cd (0.216, 0.406, 0.250) [8 per cell]

Principal peaks in the range 2θ from 15° to 90°, low angle first:
d/Å, two_theta, Rel. int.
2.999, 29.79, 14
2.743, 32.65, 18
2.713, 33.02, 11
2.558, 35.08, 100
2.452, 36.65, 30
2.394, 37.58, 26
1.828, 49.89, 11
1.435, 65.00, 22